Diffraction record for Ca2Pb. The powder diffractogram is calculated, not measured: it uses the PBE geometry in Alexandria and Cu Kα.
No peak broadening, texture or thermal motion is included.

Most intense lines, 5° ≤ 2θ ≤ 70°, in order of falling intensity:
22.40°, I = 100, (1 0 1); 32.72°, I = 86, (1 1 0); 31.03°, I = 65, (1 0 2); 41.31°, I = 46, (1 1 2); 24.53°, I = 29, (0 0 2); 61.29°, I = 28, (1 1 4); 18.72°, I = 25, (1 0 0); 40.01°, I = 24, (2 0 1); 52.61°, I = 23, (2 1 1); 57.34°, I = 22, (2 1 2)

Atomic structure:
a b c (Å): 5.4747 5.4747 7.2584
angles (deg): 90.00 90.00 120.00
Space group P6_3/mmc (No. 194)
Unique sites:
Ca 0.0000 0.0000 0.0000
Ca 0.3333 0.6667 0.2500
Pb 0.3333 0.6667 0.7500